No. 1
Computed powder X-ray diffraction pattern
Compound: NaHg2BO4
Radiation: a wavelength of 1.5418 Å
Structure: the PBE geometry in Alexandria

Crystal structure
```
NaHg2BO4
1.0
5.4442 -4.0652 0.0000
5.4442 4.0652 0.0000
-4.8741 0.0000 6.2336
Na Hg B O
2 4 2 8
Direct
0.0000 0.5000 0.0000 Na
0.5000 0.0000 0.5000 Na
0.0000 0.0000 0.0000 Hg
0.0000 0.0000 0.5000 Hg
0.0000 0.5000 0.5000 Hg
0.5000 0.0000 0.0000 Hg
0.5000 0.5000 0.0000 B
0.5000 0.5000 0.5000 B
0.1586 0.1909 0.4714 O
0.1909 0.1586 0.9714 O
0.3223 0.6215 0.0114 O
0.3785 0.6777 0.4886 O
0.6215 0.3223 0.5114 O
0.6777 0.3785 0.9886 O
0.8091 0.8414 0.0286 O
0.8414 0.8091 0.5286 O
```

Top 8 peaks for 10 to 80 degrees two-theta, by intensity:
5.901 Å, I = 100
2.950 Å, I = 94
3.117 Å, I = 83
2.821 Å, I = 80
5.642 Å, I = 78
2.711 Å, I = 48
3.592 Å, I = 29
3.260 Å, I = 28

No. 2
Computed powder X-ray diffraction pattern
Compound: NaHg2BSe4
Radiation: a wavelength of 1.5418 Å
Structure: the PBE geometry in Alexandria

Crystal structure
```
NaHg2BSe4
1.0
-2.9260 2.9260 6.0667
2.9260 -2.9260 6.0667
2.9260 2.9260 -6.0667
Na Hg B Se
1 2 1 4
Direct
0.0000 0.0000 0.0000 Na
0.2500 0.7500 0.5000 Hg
0.5000 0.5000 0.0000 Hg
0.7500 0.2500 0.5000 B
0.0575 0.5527 0.9028 Se
0.4473 0.3501 0.5049 Se
0.6499 0.1547 0.0972 Se
0.8453 0.9425 0.4951 Se
```

Top 8 peaks for 10 to 80 degrees two-theta, by intensity:
3.419 Å, I = 100
5.271 Å, I = 43
2.106 Å, I = 42
2.558 Å, I = 36
3.327 Å, I = 27
1.770 Å, I = 23
2.069 Å, I = 19
2.197 Å, I = 19

No. 3
Computed powder X-ray diffraction pattern
Compound: NiHg2B
Radiation: a wavelength of 1.5418 Å
Structure: the PBE geometry in Alexandria

Crystal structure
```
NiHg2B
1.0
-4.5600 4.5600 1.9626
4.5600 -4.5600 1.9626
4.5600 4.5600 -1.9626
Ni Hg B
2 4 2
Direct
0.3750 0.6250 0.7500 Ni
0.6250 0.3750 0.2500 Ni
0.0000 0.0000 0.0000 Hg
0.0000 0.0000 0.5000 Hg
0.0000 0.5000 0.0000 Hg
0.5000 0.0000 0.5000 Hg
0.1250 0.8750 0.2500 B
0.8750 0.1250 0.7500 B
```

Top 8 peaks for 10 to 80 degrees two-theta, by intensity:
2.828 Å, I = 100
3.224 Å, I = 64
2.280 Å, I = 53
2.126 Å, I = 45
3.606 Å, I = 41
1.803 Å, I = 38
1.414 Å, I = 35
1.612 Å, I = 18

No. 4
Computed powder X-ray diffraction pattern
Compound: NpHgB2O6
Radiation: a wavelength of 1.5418 Å
Structure: the PBE geometry in Alexandria

Crystal structure
```
NpHgB2O6
1.0
4.5839 -4.7079 0.0000
4.5839 4.7079 0.0000
-3.5570 0.0000 7.9735
Np Hg B O
2 2 4 12
Direct
0.1483 0.8517 0.7500 Np
0.8517 0.1483 0.2500 Np
0.3695 0.6305 0.2500 Hg
0.6305 0.3695 0.7500 Hg
0.0842 0.3209 0.6728 B
0.3209 0.0842 0.1728 B
0.6791 0.9158 0.8272 B
0.9158 0.6791 0.3272 B
0.0469 0.7452 0.4915 O
0.1486 0.5346 0.7566 O
0.1536 0.1704 0.7530 O
0.1704 0.1536 0.2530 O
0.2548 0.9531 0.0085 O
0.4654 0.8514 0.7434 O
0.5346 0.1486 0.2566 O
0.7452 0.0469 0.9915 O
0.8296 0.8464 0.7470 O
0.8464 0.8296 0.2470 O
0.8514 0.4654 0.2434 O
0.9531 0.2548 0.5085 O
```

Top 8 peaks for 10 to 80 degrees two-theta, by intensity:
4.054 Å, I = 100
3.270 Å, I = 99
3.987 Å, I = 79
4.186 Å, I = 60
2.651 Å, I = 41
3.749 Å, I = 40
2.422 Å, I = 33
1.993 Å, I = 31

No. 5
Computed powder X-ray diffraction pattern
Compound: HgB4O7
Radiation: a wavelength of 1.5418 Å
Structure: the PBE geometry in Alexandria

Crystal structure
```
HgB4O7
1.0
10.8331 0.0000 0.0000
0.0000 4.4479 0.0000
0.0000 0.0000 4.2414
Hg B O
2 8 14
Direct
0.0000 0.1769 0.0000 Hg
0.5000 0.8231 0.5000 Hg
0.1207 0.6737 0.5158 B
0.2487 0.8271 0.0384 B
0.2513 0.1729 0.5384 B
0.3793 0.3263 0.0158 B
0.6207 0.3263 0.0158 B
0.7487 0.1729 0.5384 B
0.7513 0.8271 0.0384 B
0.8793 0.6737 0.5158 B
0.0000 0.7671 0.6236 O
0.1349 0.7328 0.1795 O
0.1417 0.3556 0.5874 O
0.2209 0.8670 0.6833 O
0.2791 0.1330 0.1833 O
0.3583 0.6444 0.0874 O
0.3651 0.2672 0.6795 O
0.5000 0.2329 0.1236 O
0.6349 0.2672 0.6795 O
0.6417 0.6444 0.0874 O
0.7209 0.1330 0.1833 O
0.7791 0.8670 0.6833 O
0.8583 0.3556 0.5874 O
0.8651 0.7328 0.1795 O
```

Top 8 peaks for 10 to 80 degrees two-theta, by intensity:
2.671 Å, I = 100
3.949 Å, I = 84
5.417 Å, I = 75
4.115 Å, I = 67
2.750 Å, I = 63
2.031 Å, I = 50
2.803 Å, I = 50
3.069 Å, I = 47

No. 6
Computed powder X-ray diffraction pattern
Compound: PmHgB2O6
Radiation: a wavelength of 1.5418 Å
Structure: the PBE geometry in Alexandria

Crystal structure
```
PmHgB2O6
1.0
3.9008 -5.3334 0.0000
3.9008 5.3334 0.0000
-2.4072 0.0000 6.4362
Pm Hg B O
2 2 4 12
Direct
0.0754 0.9246 0.7500 Pm
0.9246 0.0754 0.2500 Pm
0.3992 0.6008 0.2500 Hg
0.6008 0.3992 0.7500 Hg
0.0866 0.4022 0.7698 B
0.4022 0.0866 0.2698 B
0.5978 0.9134 0.7302 B
0.9134 0.5978 0.2302 B
0.0061 0.2108 0.6079 O
0.0064 0.4383 0.2211 O
0.2108 0.0061 0.1079 O
0.2718 0.4151 0.9193 O
0.4151 0.2718 0.4193 O
0.4383 0.0064 0.7211 O
0.5617 0.9936 0.2789 O
0.5849 0.7282 0.5807 O
0.7282 0.5849 0.0807 O
0.7892 0.9939 0.8921 O
0.9936 0.5617 0.7789 O
0.9939 0.7892 0.3921 O
```

Top 8 peaks for 10 to 80 degrees two-theta, by intensity:
4.107 Å, I = 100
3.095 Å, I = 88
3.218 Å, I = 52
2.467 Å, I = 47
3.654 Å, I = 42
1.990 Å, I = 33
2.051 Å, I = 30
1.827 Å, I = 25

No. 7
Computed powder X-ray diffraction pattern
Compound: Rb2HgBO4
Radiation: a wavelength of 1.5418 Å
Structure: the PBE geometry in Alexandria

Crystal structure
```
Rb2HgBO4
1.0
4.2011 -3.6950 0.0000
4.2011 3.6950 0.0000
-4.1978 0.0000 4.2133
Rb Hg B O
2 1 1 4
Direct
0.0000 0.0000 0.0000 Rb
0.7502 0.2498 0.5000 Rb
0.4991 0.5009 0.0000 Hg
0.2508 0.7492 0.5000 B
0.2464 0.5279 0.5673 O
0.3232 0.0369 0.7924 O
0.4721 0.7536 0.4327 O
0.9631 0.6768 0.2076 O
```

Top 8 peaks for 10 to 80 degrees two-theta, by intensity:
2.776 Å, I = 100
2.975 Å, I = 53
4.634 Å, I = 37
1.677 Å, I = 31
4.207 Å, I = 25
2.504 Å, I = 19
1.569 Å, I = 18
2.317 Å, I = 16

No. 8
Computed powder X-ray diffraction pattern
Compound: TcHgBO6
Radiation: a wavelength of 1.5418 Å
Structure: the PBE geometry in Alexandria

Crystal structure
```
TcHgBO6
1.0
5.2044 0.0000 0.0000
-2.1227 5.3987 0.0000
-1.7098 -1.4522 6.3841
Tc Hg B O
1 1 1 6
Direct
0.0000 0.0000 0.0000 Tc
0.0629 0.5810 0.4243 Hg
0.5211 0.0904 0.3816 B
0.0857 0.9124 0.7829 O
0.3302 0.1599 0.2295 O
0.4355 0.8601 0.4300 O
0.7686 0.7338 0.0548 O
0.7980 0.2605 0.4788 O
0.8378 0.2075 0.9589 O
```

Top 8 peaks for 10 to 80 degrees two-theta, by intensity:
4.594 Å, I = 100
3.896 Å, I = 53
3.482 Å, I = 36
3.681 Å, I = 30
3.192 Å, I = 25
6.384 Å, I = 24
2.301 Å, I = 17
3.057 Å, I = 17

What did the second record say?
Computed powder X-ray diffraction pattern
Compound: NaHg2BSe4
Radiation: a wavelength of 1.5418 Å
Structure: the PBE geometry in Alexandria

Crystal structure
```
NaHg2BSe4
1.0
-2.9260 2.9260 6.0667
2.9260 -2.9260 6.0667
2.9260 2.9260 -6.0667
Na Hg B Se
1 2 1 4
Direct
0.0000 0.0000 0.0000 Na
0.2500 0.7500 0.5000 Hg
0.5000 0.5000 0.0000 Hg
0.7500 0.2500 0.5000 B
0.0575 0.5527 0.9028 Se
0.4473 0.3501 0.5049 Se
0.6499 0.1547 0.0972 Se
0.8453 0.9425 0.4951 Se
```

Top 8 peaks for 10 to 80 degrees two-theta, by intensity:
3.419 Å, I = 100
5.271 Å, I = 43
2.106 Å, I = 42
2.558 Å, I = 36
3.327 Å, I = 27
1.770 Å, I = 23
2.069 Å, I = 19
2.197 Å, I = 19